LaSc3B4O12: simulated XRD peak list (Cu Ka), based on the PBE geometry in the Materials Project.

Cell and atoms:
abc: 6.240 6.240 6.240
angles: 100.92 100.92 100.92
Atoms (fractional coordinates):
La (0.000, 0.000, 0.000)
Sc (0.000, 0.506, 0.494)
Sc (0.494, 0.000, 0.506)
Sc (0.506, 0.494, 0.000)
B (0.012, 0.500, 0.988)
B (0.500, 0.500, 0.500)
B (0.500, 0.988, 0.012)
B (0.988, 0.012, 0.500)
O (0.003, 0.173, 0.376)
O (0.133, 0.867, 0.500)
O (0.173, 0.376, 0.003)
O (0.355, 0.500, 0.645)
O (0.376, 0.003, 0.173)
O (0.500, 0.133, 0.867)
O (0.500, 0.645, 0.355)
O (0.624, 0.827, 0.997)
O (0.645, 0.355, 0.500)
O (0.827, 0.997, 0.624)
O (0.867, 0.500, 0.133)
O (0.997, 0.624, 0.827)

Most intense lines, 2θ = 10–90°, in order of rising 2θ:
| 2theta | intensity |
| --- | --- |
| 14.87 | 30 |
| 18.44 | 19 |
| 23.77 | 60 |
| 30.00 | 100 |
| 30.25 | 13 |
| 37.38 | 32 |
| 44.78 | 22 |
| 47.97 | 23 |
| 48.65 | 13 |
| 49.67 | 47 |
| 59.70 | 17 |
| 62.91 | 15 |

=====

LaSc3B4O12: simulated XRD peak list (Cu Ka), based on the PBE geometry in the Materials Project.

Cell and atoms:
abc: 6.316 6.316 6.316
angles: 103.22 103.22 103.22
Atoms (fractional coordinates):
La (0.000, 0.000, 0.000)
Sc (0.000, 0.548, 0.452)
Sc (0.452, 0.000, 0.548)
Sc (0.548, 0.452, 0.000)
B (0.050, 0.500, 0.950)
B (0.500, 0.500, 0.500)
B (0.500, 0.950, 0.050)
B (0.950, 0.050, 0.500)
O (0.030, 0.626, 0.798)
O (0.090, 0.910, 0.500)
O (0.202, 0.374, 0.970)
O (0.360, 0.640, 0.500)
O (0.374, 0.970, 0.202)
O (0.500, 0.090, 0.910)
O (0.500, 0.360, 0.640)
O (0.626, 0.798, 0.030)
O (0.640, 0.500, 0.360)
O (0.798, 0.030, 0.626)
O (0.910, 0.500, 0.090)
O (0.970, 0.202, 0.374)

Most intense lines, 2θ = 10–90°, in order of rising 2θ:
| 2theta | intensity |
| --- | --- |
| 15.09 | 34 |
| 17.92 | 23 |
| 23.50 | 59 |
| 29.71 | 26 |
| 30.44 | 100 |
| 35.55 | 20 |
| 36.29 | 22 |
| 39.51 | 16 |
| 43.69 | 16 |
| 44.22 | 19 |
| 46.36 | 14 |
| 50.07 | 48 |

=====

La5Si2BO13: simulated XRD peak list (Cu Ka), based on the PBE geometry in the Materials Project.

Cell and atoms:
abc: 9.606 7.254 9.612
angles: 90.00 119.88 90.00
Atoms (fractional coordinates):
La (0.000, 0.000, 0.000)
La (0.010, 0.500, 0.254)
La (0.110, 0.252, 0.686)
La (0.110, 0.748, 0.686)
La (0.425, 0.248, 0.342)
La (0.425, 0.752, 0.342)
La (0.509, 0.000, 0.789)
La (0.521, 0.500, 0.012)
La (0.732, 0.500, 0.764)
La (0.754, 0.000, 0.245)
Si (0.126, 0.500, 0.981)
Si (0.162, 0.000, 0.384)
Si (0.731, 0.000, 0.614)
Si (0.793, 0.500, 0.417)
B (0.357, 0.500, 0.641)
B (0.391, 0.000, 0.047)
O (0.012, 0.317, 0.922)
O (0.012, 0.683, 0.922)
O (0.088, 0.000, 0.503)
O (0.106, 0.182, 0.266)
O (0.106, 0.818, 0.266)
O (0.175, 0.500, 0.551)
O (0.229, 0.500, 0.886)
O (0.247, 0.500, 0.175)
O (0.281, 0.000, 0.867)
O (0.298, 0.000, 0.136)
O (0.359, 0.000, 0.484)
O (0.411, 0.330, 0.750)
O (0.411, 0.670, 0.750)
O (0.425, 0.500, 0.531)
O (0.497, 0.170, 0.098)
O (0.497, 0.830, 0.098)
O (0.597, 0.500, 0.340)
O (0.632, 0.000, 0.416)
O (0.669, 0.183, 0.669)
O (0.669, 0.817, 0.669)
O (0.761, 0.000, 0.009)
O (0.764, 0.500, 0.017)
O (0.852, 0.317, 0.358)
O (0.852, 0.683, 0.358)
O (0.890, 0.500, 0.614)
O (0.925, 0.000, 0.688)

Most intense lines, 2θ = 10–90°, in order of rising 2θ:
| 2theta | intensity |
| --- | --- |
| 21.34 | 30 |
| 22.18 | 25 |
| 26.81 | 39 |
| 28.36 | 33 |
| 30.91 | 100 |
| 31.00 | 36 |
| 32.25 | 30 |
| 45.26 | 27 |
| 46.62 | 19 |
| 47.41 | 27 |
| 50.30 | 20 |
| 50.55 | 26 |